Record 1
The following is a computed XRD peak list of Pr2NiH6Pt. It was derived from DFT lattice parameters and positions (PBE), using Cu Kα (weighted mean of Kα1 and Kα2).
Kinematic intensities with the Lorentz-polarization factor, no thermal factor.

Largest 8 diffraction maxima, in order of falling intensity, 10 to 90 degrees two-theta:
two_theta  I/Imax
33.08  100
35.54  41
62.26  32
57.45  21
20.58  17
51.13  15
43.59  12
69.41  12

Atomic structure:
a = 5.4778 Å, b = 5.4778 Å, c = 5.4778 Å
α = 125.07°, β = 125.07°, γ = 81.42°
Element x y z (fractional)
1 Pr 0.2500 0.7500 0.5000
2 Pr 0.7500 0.2500 0.5000
3 Ni 0.0000 0.0000 0.0000
4 H 0.1978 0.1978 0.0000
5 H 0.2475 0.2475 0.4949
6 H 0.2475 0.7525 0.0000
7 H 0.7525 0.2475 0.0000
8 H 0.7525 0.7525 0.5051
9 H 0.8022 0.8022 0.0000
10 Pt 0.5000 0.5000 0.0000


Record 2
The following is a computed XRD peak list of PrNiH6Rh. It was derived from DFT lattice parameters and positions (PBE), using Cu Kα (weighted mean of Kα1 and Kα2).
Kinematic intensities with the Lorentz-polarization factor, no thermal factor.

Largest 8 diffraction maxima, in order of falling intensity, 10 to 90 degrees two-theta:
two_theta  I/Imax
30.58  100
38.63  48
58.90  28
50.05  25
64.96  22
42.66  12
85.47  10
70.63  9

Atomic structure:
a = 4.6614 Å, b = 4.6614 Å, c = 4.2385 Å
α = 90.00°, β = 90.00°, γ = 120.00°
Element x y z (fractional)
1 Pr 0.0000 0.0000 0.0000
2 Ni 0.3333 0.6667 0.5000
3 H 0.0114 0.5057 0.2512
4 H 0.0114 0.5057 0.7488
5 H 0.4943 0.5057 0.2512
6 H 0.4943 0.5057 0.7488
7 H 0.4943 0.9886 0.2512
8 H 0.4943 0.9886 0.7488
9 Rh 0.6667 0.3333 0.5000


Record 3
The following is a computed XRD peak list of PrNiSnH. It was derived from DFT lattice parameters and positions (PBE), using Cu Kα (weighted mean of Kα1 and Kα2).
Kinematic intensities with the Lorentz-polarization factor, no thermal factor.

Largest 8 diffraction maxima, in order of falling intensity, 10 to 90 degrees two-theta:
two_theta  I/Imax
33.59  100
31.58  70
37.46  47
40.98  36
61.34  31
38.52  28
32.21  28
57.51  24

Atomic structure:
a = 7.2871 Å, b = 4.4051 Å, c = 8.5918 Å
α = 90.00°, β = 90.00°, γ = 90.00°
Element x y z (fractional)
1 Pr 0.0131 0.2500 0.1880
2 Pr 0.4869 0.7500 0.6880
3 Pr 0.5131 0.2500 0.3120
4 Pr 0.9869 0.7500 0.8120
5 Ni 0.2192 0.7500 0.4013
6 Ni 0.2808 0.2500 0.9013
7 Ni 0.7192 0.7500 0.0987
8 Ni 0.7808 0.2500 0.5987
9 Sn 0.1553 0.2500 0.5681
10 Sn 0.3447 0.7500 0.0681
11 Sn 0.6553 0.2500 0.9319
12 Sn 0.8447 0.7500 0.4319
13 H 0.0620 0.2500 0.9194
14 H 0.4380 0.7500 0.4194
15 H 0.5620 0.2500 0.5806
16 H 0.9380 0.7500 0.0806


Record 4
The following is a computed XRD peak list of Ni8H4Pt. It was derived from DFT lattice parameters and positions (PBE), using Cu Kα (weighted mean of Kα1 and Kα2).
Kinematic intensities with the Lorentz-polarization factor, no thermal factor.

Largest 8 diffraction maxima, in order of falling intensity, 10 to 90 degrees two-theta:
two_theta  I/Imax
44.37  100
46.64  88
42.72  73
40.15  51
44.85  47
47.38  41
13.34  34
13.95  32

Atomic structure:
a = 6.5232 Å, b = 6.5232 Å, c = 8.7143 Å
α = 129.38°, β = 129.38°, γ = 23.23°
Element x y z (fractional)
1 Ni 0.0366 0.0366 0.2359
2 Ni 0.2955 0.2955 0.4244
3 Ni 0.3330 0.3330 0.1650
4 Ni 0.3706 0.3706 0.9074
5 Ni 0.6294 0.6294 0.0926
6 Ni 0.6670 0.6670 0.8350
7 Ni 0.7045 0.7045 0.5756
8 Ni 0.9634 0.9634 0.7641
9 H 0.1479 0.1479 0.9687
10 H 0.3350 0.3350 0.6709
11 H 0.6650 0.6650 0.3291
12 H 0.8521 0.8521 0.0313
13 Pt 0.0000 0.0000 0.5000


Record 5
The following is a computed XRD peak list of Ni8H5Pt. It was derived from DFT lattice parameters and positions (PBE), using Cu Kα (weighted mean of Kα1 and Kα2).
Kinematic intensities with the Lorentz-polarization factor, no thermal factor.

Largest 8 diffraction maxima, in order of falling intensity, 10 to 90 degrees two-theta:
two_theta  I/Imax
44.15  100
46.44  85
42.44  71
39.98  49
44.63  47
47.07  39
13.55  33
13.86  33

Atomic structure:
a = 6.8430 Å, b = 6.8430 Å, c = 6.5664 Å
α = 103.04°, β = 103.04°, γ = 22.21°
Element x y z (fractional)
1 Ni 0.0747 0.0747 0.1660
2 Ni 0.2578 0.2578 0.8317
3 Ni 0.3327 0.3327 0.5006
4 Ni 0.4079 0.4079 0.1673
5 Ni 0.5921 0.5921 0.8327
6 Ni 0.6673 0.6673 0.4994
7 Ni 0.7422 0.7422 0.1683
8 Ni 0.9253 0.9253 0.8340
9 H 0.1636 0.1636 0.9844
10 H 0.2055 0.2055 0.3398
11 H 0.5000 0.5000 0.0000
12 H 0.7945 0.7945 0.6602
13 H 0.8364 0.8364 0.0156
14 Pt 0.0000 0.0000 0.5000


Record 6
The following is a computed XRD peak list of Sr2NiH6Pt. It was derived from DFT lattice parameters and positions (PBE), using Cu Kα (weighted mean of Kα1 and Kα2).
Kinematic intensities with the Lorentz-polarization factor, no thermal factor.

Largest 8 diffraction maxima, in order of falling intensity, 10 to 90 degrees two-theta:
two_theta  I/Imax
32.71  100
34.57  43
60.77  33
20.23  27
57.16  20
49.70  16
68.55  12
44.04  11

Atomic structure:
a = 5.5116 Å, b = 5.5116 Å, c = 5.5116 Å
α = 123.84°, β = 123.84°, γ = 83.48°
Element x y z (fractional)
1 Sr 0.2500 0.7500 0.5000
2 Sr 0.7500 0.2500 0.5000
3 Ni 0.0000 0.0000 0.0000
4 H 0.1950 0.1950 0.0000
5 H 0.2549 0.2549 0.5099
6 H 0.2549 0.7451 0.0000
7 H 0.7451 0.2549 0.0000
8 H 0.7451 0.7451 0.4901
9 H 0.8050 0.8050 0.0000
10 Pt 0.5000 0.5000 0.0000


Record 7
The following is a computed XRD peak list of Ta2NiHPt. It was derived from DFT lattice parameters and positions (PBE), using Cu Kα (weighted mean of Kα1 and Kα2).
Kinematic intensities with the Lorentz-polarization factor, no thermal factor.

Largest 8 diffraction maxima, in order of falling intensity, 10 to 90 degrees two-theta:
two_theta  I/Imax
38.93  100
44.99  34
78.91  26
66.15  21
45.80  16
80.08  12
83.59  11
65.52  11

Atomic structure:
a = 4.0296 Å, b = 4.0296 Å, c = 3.9624 Å
α = 90.00°, β = 90.00°, γ = 90.00°
Element x y z (fractional)
1 Ta 0.0000 0.5000 0.0000
2 Ta 0.5000 0.0000 0.0000
3 Ni 0.0000 0.0000 0.5000
4 H 0.0000 0.0000 0.0000
5 Pt 0.5000 0.5000 0.5000


Record 8
The following is a computed XRD peak list of PuNiH6. It was derived from DFT lattice parameters and positions (PBE), using Cu Kα (weighted mean of Kα1 and Kα2).
Kinematic intensities with the Lorentz-polarization factor, no thermal factor.

Largest 8 diffraction maxima, in order of falling intensity, 10 to 90 degrees two-theta:
two_theta  I/Imax
28.71  100
24.93  43
40.69  41
41.40  38
51.16  21
66.82  19
67.83  18
48.63  16

Atomic structure:
a = 4.4360 Å, b = 4.4360 Å, c = 4.4360 Å
α = 58.90°, β = 58.90°, γ = 58.90°
Element x y z (fractional)
1 Pu 0.0000 0.0000 0.0000
2 Ni 0.5000 0.5000 0.5000
3 H 0.0781 0.5946 0.5946
4 H 0.4054 0.4054 0.9219
5 H 0.4054 0.9219 0.4054
6 H 0.5946 0.0781 0.5946
7 H 0.5946 0.5946 0.0781
8 H 0.9219 0.4054 0.4054


Record 9
The following is a computed XRD peak list of PuNi6H. It was derived from DFT lattice parameters and positions (PBE), using Cu Kα (weighted mean of Kα1 and Kα2).
Kinematic intensities with the Lorentz-polarization factor, no thermal factor.

Largest 8 diffraction maxima, in order of falling intensity, 10 to 90 degrees two-theta:
two_theta  I/Imax
41.59  100
34.48  64
40.53  44
41.24  44
43.41  43
56.02  34
24.47  33
21.31  31

Atomic structure:
a = 5.2056 Å, b = 5.2056 Å, c = 5.2056 Å
α = 58.51°, β = 58.51°, γ = 58.51°
Element x y z (fractional)
1 Pu 0.0000 0.0000 0.0000
2 Ni 0.0778 0.6002 0.6002
3 Ni 0.3998 0.3998 0.9222
4 Ni 0.3998 0.9222 0.3998
5 Ni 0.6002 0.0778 0.6002
6 Ni 0.6002 0.6002 0.0778
7 Ni 0.9222 0.3998 0.3998
8 H 0.5000 0.5000 0.5000


Record 10
The following is a computed XRD peak list of PuNiH3. It was derived from DFT lattice parameters and positions (PBE), using Cu Kα (weighted mean of Kα1 and Kα2).
Kinematic intensities with the Lorentz-polarization factor, no thermal factor.

Largest 8 diffraction maxima, in order of falling intensity, 10 to 90 degrees two-theta:
two_theta  I/Imax
35.58  100
24.96  38
63.91  37
51.21  18
57.78  17
86.20  17
43.95  13
75.34  12

Atomic structure:
a = 3.5680 Å, b = 3.5680 Å, c = 3.5680 Å
α = 90.00°, β = 90.00°, γ = 90.00°
Element x y z (fractional)
1 Pu 0.0000 0.0000 0.0000
2 Ni 0.5000 0.5000 0.5000
3 H 0.0000 0.5000 0.5000
4 H 0.5000 0.0000 0.5000
5 H 0.5000 0.5000 0.0000


Record 11
The following is a computed XRD peak list of PuNi2H8Ru. It was derived from DFT lattice parameters and positions (PBE), using Cu Kα (weighted mean of Kα1 and Kα2).
Kinematic intensities with the Lorentz-polarization factor, no thermal factor.

Largest 8 diffraction maxima, in order of falling intensity, 10 to 90 degrees two-theta:
two_theta  I/Imax
32.18  100
39.80  69
25.36  48
67.51  32
23.37  30
52.08  29
53.38  26
36.54  24

Atomic structure:
a = 5.8753 Å, b = 5.8753 Å, c = 5.8753 Å
α = 45.34°, β = 45.34°, γ = 45.34°
Element x y z (fractional)
1 Pu 0.0000 0.0000 0.0000
2 Ni 0.2151 0.2151 0.2151
3 Ni 0.7849 0.7849 0.7849
4 H 0.1335 0.4079 0.7964
5 H 0.2036 0.8665 0.5921
6 H 0.3151 0.3151 0.3151
7 H 0.4079 0.7964 0.1335
8 H 0.5921 0.2036 0.8665
9 H 0.6849 0.6849 0.6849
10 H 0.7964 0.1335 0.4079
11 H 0.8665 0.5921 0.2036
12 Ru 0.5000 0.5000 0.5000


Record 12
The following is a computed XRD peak list of Rb3NiH4. It was derived from DFT lattice parameters and positions (PBE), using Cu Kα (weighted mean of Kα1 and Kα2).
Kinematic intensities with the Lorentz-polarization factor, no thermal factor.

Largest 8 diffraction maxima, in order of falling intensity, 10 to 90 degrees two-theta:
two_theta  I/Imax
28.52  100
28.82  25
30.55  21
50.88  19
42.50  16
53.06  16
59.03  12
38.99  11

Atomic structure:
a = 6.1963 Å, b = 9.2412 Å, c = 5.8516 Å
α = 90.00°, β = 90.00°, γ = 90.00°
Element x y z (fractional)
1 Rb 0.0000 0.0000 0.0000
2 Rb 0.0000 0.2546 0.5145
3 Rb 0.0000 0.7454 0.5145
4 Rb 0.5000 0.2454 0.0145
5 Rb 0.5000 0.5000 0.5000
6 Rb 0.5000 0.7546 0.0145
7 Ni 0.0000 0.5000 0.9780
8 Ni 0.5000 0.0000 0.4780
9 H 0.0000 0.3301 0.0211
10 H 0.0000 0.6699 0.0211
11 H 0.2467 0.5000 0.9132
12 H 0.2533 0.0000 0.4132
13 H 0.5000 0.1699 0.5211
14 H 0.5000 0.8301 0.5211
15 H 0.7467 0.0000 0.4132
16 H 0.7533 0.5000 0.9132


Record 13
The following is a computed XRD peak list of ReNiH. It was derived from DFT lattice parameters and positions (PBE), using Cu Kα (weighted mean of Kα1 and Kα2).
Kinematic intensities with the Lorentz-polarization factor, no thermal factor.

Largest 8 diffraction maxima, in order of falling intensity, 10 to 90 degrees two-theta:
two_theta  I/Imax
40.40  100
47.35  96
41.00  95
16.50  58
69.19  40
82.94  24
28.56  24
84.12  23

Atomic structure:
a = 2.7433 Å, b = 3.8423 Å, c = 5.3716 Å
α = 90.00°, β = 90.00°, γ = 90.00°
Element x y z (fractional)
1 Re 0.2500 0.2500 0.1142
2 Re 0.7500 0.7500 0.8858
3 Ni 0.2500 0.2500 0.6191
4 Ni 0.7500 0.7500 0.3809
5 H 0.2500 0.7500 0.6109
6 H 0.7500 0.2500 0.3891


Record 14
The following is a computed XRD peak list of ReNiH. It was derived from DFT lattice parameters and positions (PBE), using Cu Kα (weighted mean of Kα1 and Kα2).
Kinematic intensities with the Lorentz-polarization factor, no thermal factor.

Largest 8 diffraction maxima, in order of falling intensity, 10 to 90 degrees two-theta:
two_theta  I/Imax
43.48  100
43.68  50
18.88  43
41.14  39
38.06  25
38.80  21
83.67  19
76.60  18

Atomic structure:
a = 2.7350 Å, b = 4.3880 Å, c = 4.7015 Å
α = 90.00°, β = 90.00°, γ = 90.00°
Element x y z (fractional)
1 Re 0.0000 0.0000 0.0000
2 Re 0.5000 0.5000 0.1762
3 Ni 0.0000 0.5000 0.6831
4 Ni 0.5000 0.0000 0.5318
5 H 0.0000 0.2411 0.3782
6 H 0.0000 0.7589 0.3782